1.
# La2Mn17C2
Calculated powder X-ray diffraction pattern, a wavelength of 1.5418 Å. Input: a DFT-relaxed cell (PBE, the Materials Project).
Kinematic intensities with the Lorentz-polarization factor, no thermal factor.

abc: 6.5314 6.5314 6.4865
angles: 96.30 96.30 84.61
Fractional coordinates of all 21 atoms:
La 0.1386 0.1386 0.3393
La 0.8614 0.8614 0.6607
Mn 0.0000 0.5000 0.0000
Mn 0.1587 0.1587 0.8709
Mn 0.1659 0.6279 0.3364
Mn 0.2183 0.4921 0.7187
Mn 0.2358 0.7642 0.0000
Mn 0.3721 0.8341 0.6636
Mn 0.4065 0.4065 0.0943
Mn 0.4921 0.2183 0.7187
Mn 0.5000 0.0000 0.0000
Mn 0.5000 0.5000 0.5000
Mn 0.5079 0.7817 0.2813
Mn 0.5935 0.5935 0.9057
Mn 0.6279 0.1659 0.3364
Mn 0.7642 0.2358 0.0000
Mn 0.7817 0.5079 0.2813
Mn 0.8341 0.3721 0.6636
Mn 0.8413 0.8413 0.1291
C 0.0000 0.5000 0.5000
C 0.5000 0.0000 0.5000

Top 10 peaks for 2θ = 5–70°, by angle:
2θ/deg	I (rel.)
29.83	43.6
31.17	26.3
35.52	37.7
37.45	44.3
41.06	44.8
41.60	80.7
41.89	100.0
42.28	52.3
43.76	57.9
61.58	28.1

***

2.
# La21Mn8Sn7C12
Calculated powder X-ray diffraction pattern, a wavelength of 1.5418 Å. Input: a DFT-relaxed cell (PBE, the Materials Project).
Kinematic intensities with the Lorentz-polarization factor, no thermal factor.

abc: 11.6853 11.6853 11.6853
angles: 60.00 60.00 60.00
Fractional coordinates of all 48 atoms:
La 0.0000 0.0000 0.0000
La 0.1343 0.1343 0.1343
La 0.1343 0.1343 0.5972
La 0.1343 0.5972 0.1343
La 0.1603 0.5000 0.5000
La 0.1603 0.5000 0.8397
La 0.1603 0.8397 0.5000
La 0.4028 0.8657 0.8657
La 0.5000 0.1603 0.5000
La 0.5000 0.1603 0.8397
La 0.5000 0.5000 0.1603
La 0.5000 0.5000 0.8397
La 0.5000 0.8397 0.1603
La 0.5000 0.8397 0.5000
La 0.5972 0.1343 0.1343
La 0.8397 0.1603 0.5000
La 0.8397 0.5000 0.1603
La 0.8397 0.5000 0.5000
La 0.8657 0.4028 0.8657
La 0.8657 0.8657 0.4028
La 0.8657 0.8657 0.8657
Mn 0.0929 0.3024 0.3024
Mn 0.3024 0.0929 0.3024
Mn 0.3024 0.3024 0.0929
Mn 0.3024 0.3024 0.3024
Mn 0.6976 0.6976 0.6976
Mn 0.6976 0.6976 0.9071
Mn 0.6976 0.9071 0.6976
Mn 0.9071 0.6976 0.6976
Sn 0.2103 0.2103 0.7897
Sn 0.2103 0.7897 0.2103
Sn 0.2103 0.7897 0.7897
Sn 0.5000 0.5000 0.5000
Sn 0.7897 0.2103 0.2103
Sn 0.7897 0.2103 0.7897
Sn 0.7897 0.7897 0.2103
C 0.1081 0.1081 0.3919
C 0.1081 0.3919 0.1081
C 0.1081 0.3919 0.3919
C 0.3919 0.1081 0.1081
C 0.3919 0.1081 0.3919
C 0.3919 0.3919 0.1081
C 0.6081 0.6081 0.8919
C 0.6081 0.8919 0.6081
C 0.6081 0.8919 0.8919
C 0.8919 0.6081 0.6081
C 0.8919 0.6081 0.8919
C 0.8919 0.8919 0.6081

Top 10 peaks for 2θ = 5–70°, by angle:
2θ/deg	I (rel.)
28.06	100.0
30.60	38.1
32.04	63.1
32.51	74.5
42.00	25.4
46.64	32.9
54.40	21.1
55.31	19.4
57.70	13.1
64.54	15.5

***

3.
# LaC6N9
Calculated powder X-ray diffraction pattern, a wavelength of 1.5418 Å. Input: a DFT-relaxed cell (PBE, the Materials Project).
Kinematic intensities with the Lorentz-polarization factor, no thermal factor.

abc: 7.1947 7.1947 10.6584
angles: 90.00 90.00 112.82
Fractional coordinates of all 32 atoms:
La 0.2148 0.7852 0.7500
La 0.7852 0.2148 0.2500
C 0.0549 0.2288 0.7500
C 0.2111 0.5033 0.0534
C 0.2111 0.5033 0.4466
C 0.2288 0.0549 0.2500
C 0.4967 0.7889 0.0534
C 0.4967 0.7889 0.4466
C 0.5033 0.2111 0.5534
C 0.5033 0.2111 0.9466
C 0.7712 0.9451 0.7500
C 0.7889 0.4967 0.5534
C 0.7889 0.4967 0.9466
C 0.9451 0.7712 0.2500
N 0.0328 0.9672 0.2500
N 0.0840 0.3609 0.0983
N 0.0840 0.3609 0.4017
N 0.1434 0.4051 0.7500
N 0.3421 0.6579 0.5044
N 0.3421 0.6579 0.9956
N 0.3609 0.0840 0.5983
N 0.3609 0.0840 0.9017
N 0.4051 0.1434 0.2500
N 0.5949 0.8566 0.7500
N 0.6391 0.9160 0.0983
N 0.6391 0.9160 0.4017
N 0.6579 0.3421 0.0044
N 0.6579 0.3421 0.4956
N 0.8566 0.5949 0.2500
N 0.9160 0.6391 0.5983
N 0.9160 0.6391 0.9017
N 0.9672 0.0328 0.7500

Top 10 peaks for 2θ = 5–70°, by angle:
2θ/deg	I (rel.)
14.78	36.2
15.74	100.0
16.64	20.2
21.39	24.0
26.32	33.0
28.50	30.0
30.12	18.9
31.00	14.3
35.66	28.7
37.09	15.6

***

4.
# La2CN2O2
Calculated powder X-ray diffraction pattern, a wavelength of 1.5418 Å. Input: a DFT-relaxed cell (PBE, the Materials Project).
Kinematic intensities with the Lorentz-polarization factor, no thermal factor.

abc: 6.8980 4.0861 6.9572
angles: 72.06 34.30 73.64
Fractional coordinates of all 7 atoms:
La 0.1509 0.8491 0.1509
La 0.8491 0.1509 0.8491
C 0.5252 0.5252 0.4748
N 0.1944 0.4827 0.8056
N 0.4827 0.1944 0.5173
O 0.2458 0.2458 0.2542
O 0.7458 0.7458 0.7542

Top 10 peaks for 2θ = 5–70°, by angle:
2θ/deg	I (rel.)
22.91	49.5
30.20	19.1
30.55	100.0
31.76	16.1
41.90	15.9
43.09	21.9
44.39	22.4
53.52	16.9
53.86	17.1
55.84	28.1

***

5.
# NaLaC2O6
Calculated powder X-ray diffraction pattern, a wavelength of 1.5418 Å. Input: a DFT-relaxed cell (PBE, the Materials Project).
Kinematic intensities with the Lorentz-polarization factor, no thermal factor.

abc: 5.2156 6.5042 7.2839
angles: 90.00 90.00 90.00
Fractional coordinates of all 20 atoms:
Na 0.0000 0.0173 0.0000
Na 0.0000 0.9827 0.5000
La 0.5000 0.3677 0.3004
La 0.5000 0.6323 0.8004
C 0.0000 0.4661 0.9715
C 0.0000 0.5339 0.4715
C 0.5000 0.0813 0.7149
C 0.5000 0.9187 0.2149
O 0.0000 0.3590 0.3863
O 0.0000 0.6410 0.8863
O 0.2181 0.3788 0.0083
O 0.2181 0.6212 0.5083
O 0.2882 0.0136 0.2518
O 0.2882 0.9864 0.7518
O 0.5000 0.2623 0.6372
O 0.5000 0.7377 0.1372
O 0.7118 0.0136 0.2518
O 0.7118 0.9864 0.7518
O 0.7819 0.3788 0.0083
O 0.7819 0.6212 0.5083

Top 10 peaks for 2θ = 5–70°, by angle:
2θ/deg	I (rel.)
13.61	51.0
17.00	77.7
18.29	88.1
25.07	63.9
29.92	100.0
30.09	63.2
34.76	69.2
44.97	43.5
46.34	52.4
50.05	36.3

***

6.
# Na2LaPCO7
Calculated powder X-ray diffraction pattern, a wavelength of 1.5418 Å. Input: a DFT-relaxed cell (PBE, the Materials Project).
Kinematic intensities with the Lorentz-polarization factor, no thermal factor.

abc: 5.2926 7.1855 9.4669
angles: 90.00 91.09 90.00
Fractional coordinates of all 24 atoms:
Na 0.2268 0.0049 0.2025
Na 0.2268 0.4951 0.2025
Na 0.7732 0.5049 0.7975
Na 0.7732 0.9951 0.7975
La 0.2360 0.2500 0.6150
La 0.7640 0.7500 0.3850
P 0.2882 0.7500 0.5907
P 0.7118 0.2500 0.4093
C 0.2704 0.2500 0.9228
C 0.7296 0.7500 0.0772
O 0.0491 0.2500 0.8571
O 0.1564 0.5745 0.6488
O 0.1564 0.9255 0.6488
O 0.2614 0.7500 0.4238
O 0.2940 0.2500 0.0556
O 0.4227 0.2500 0.3767
O 0.4685 0.2500 0.8390
O 0.5315 0.7500 0.1610
O 0.5773 0.7500 0.6233
O 0.7060 0.7500 0.9444
O 0.7386 0.2500 0.5762
O 0.8436 0.0745 0.3512
O 0.8436 0.4255 0.3512
O 0.9509 0.7500 0.1429

Top 10 peaks for 2θ = 5–70°, by angle:
2θ/deg	I (rel.)
9.34	100.0
15.48	33.1
20.85	35.9
24.78	32.0
25.00	23.7
25.49	31.2
26.54	17.0
31.65	17.1
33.88	18.0
41.37	18.4

***

7.
# LaNdC4
Calculated powder X-ray diffraction pattern, a wavelength of 1.5418 Å. Input: a DFT-relaxed cell (PBE, the Materials Project).
Kinematic intensities with the Lorentz-polarization factor, no thermal factor.

abc: 3.8948 3.8948 6.5262
angles: 90.00 90.00 90.00
Fractional coordinates of all 6 atoms:
La 0.0000 0.0000 0.0000
Nd 0.5000 0.5000 0.5000
C 0.0000 0.0000 0.4007
C 0.0000 0.0000 0.5993
C 0.5000 0.5000 0.0993
C 0.5000 0.5000 0.9007

Top 10 peaks for 2θ = 5–70°, by angle:
2θ/deg	I (rel.)
26.65	100.0
27.33	34.9
32.51	53.6
42.97	40.4
46.64	18.7
47.90	29.2
54.53	30.0
54.90	19.5
66.62	8.3
69.08	19.2

***

8.
# LaNdC4
Calculated powder X-ray diffraction pattern, a wavelength of 1.5418 Å. Input: a DFT-relaxed cell (PBE, the Materials Project).
Kinematic intensities with the Lorentz-polarization factor, no thermal factor.

abc: 7.6236 3.8915 7.6079
angles: 90.00 118.23 90.00
Fractional coordinates of all 12 atoms:
La 0.0000 0.0000 0.0000
La 0.5000 0.5000 0.0000
Nd 0.0000 0.5000 0.5000
Nd 0.5000 0.0000 0.5000
C 0.1989 0.0000 0.7955
C 0.2016 0.5000 0.3032
C 0.2984 0.0000 0.6968
C 0.3011 0.5000 0.2045
C 0.6989 0.5000 0.7955
C 0.7016 0.0000 0.3032
C 0.7984 0.5000 0.6968
C 0.8011 0.0000 0.2045

Top 10 peaks for 2θ = 5–70°, by angle:
2θ/deg	I (rel.)
26.54	33.7
26.64	100.0
27.29	46.8
32.46	71.7
42.91	54.1
47.85	29.3
54.37	20.2
54.52	20.0
54.92	13.0
69.02	19.2